Starting from a structure optimized by DFT (GGA-PBE), the X-ray powder pattern of Bi was computed for λ = 1.5418 Å (Cu Kα).
Lines closer than 0.1° are merged.

Crystal structure
Lattice parameters (Å, degrees): 6.977 6.265 3.359 90.00 112.04 90.00
Space group C2/m (No. 12)
Inequivalent atoms, fractional coordinates:
1 Bi 0.247 0.000 0.143 [4 per cell]

Peak list (10 most intense, 10° ≤ 2θ ≤ 90°, low angle first)
two_theta  I (rel.)  h k l
27.58  100  2 0 0
28.49  92  0 2 0
28.67  36  0 0 1
30.35  99  1 1 -1
31.54  25  2 0 -1
39.25  48  1 1 1
40.07  76  2 2 0
40.86  28  0 2 1
43.59  40  3 1 -1
57.35  26  1 1 -2